Structure and simulated powder XRD pattern of Pr2MgS4 (a crystal structure in the Materials Project, relaxed with GGA-PBE; Cu Kα X-rays).

Atomic structure:
a = 7.4142 Å, b = 7.4142 Å, c = 7.4142 Å
α = 110.98°, β = 110.98°, γ = 106.48°
Atoms (fractional coordinates):
Pr1 0.0067 0.6250 0.8817
Pr2 0.3750 0.2567 0.3817
Pr3 0.7433 0.1250 0.1183
Pr4 0.8750 0.9933 0.6183
Mg1 0.2500 0.7500 0.5000
Mg2 0.5000 0.5000 0.0000
S1 0.0064 0.8763 0.2680
S2 0.1237 0.3917 0.1301
S3 0.1417 0.3737 0.6301
S4 0.2616 0.9936 0.8699
S5 0.4884 0.8583 0.2320
S6 0.6083 0.7384 0.7320
S7 0.6263 0.2564 0.7680
S8 0.7436 0.5116 0.3699

Top 8 peaks for 2θ = 5–70°, in order of rising 2θ:
- 2θ = 14.52°, d 6.101, intensity 53
- 2θ = 25.05°, d 3.555, intensity 89
- 2θ = 25.75°, d 3.460, intensity 98
- 2θ = 32.08°, d 2.790, intensity 51
- 2θ = 33.56°, d 2.670, intensity 50
- 2θ = 33.74°, d 2.656, intensity 100
- 2θ = 38.75°, d 2.324, intensity 90
- 2θ = 40.01°, d 2.253, intensity 55

Structure and simulated powder XRD pattern of BaSrPrBiO6 (a crystal structure in the Materials Project, relaxed with GGA-PBE; Cu Kα X-rays).

Atomic structure:
a = 8.7913 Å, b = 8.7924 Å, c = 8.7998 Å
α = 90.00°, β = 90.00°, γ = 90.00°
Atoms (fractional coordinates):
Ba1 0.0000 0.0000 0.0000
Ba2 0.0000 0.0000 0.5000
Ba3 0.5000 0.0000 0.0000
Ba4 0.5000 0.5000 0.5000
Sr1 0.0000 0.5000 0.0000
Sr2 0.0000 0.5000 0.5000
Sr3 0.5000 0.0000 0.5000
Sr4 0.5000 0.5000 0.0000
Pr1 0.2508 0.2526 0.2506
Pr2 0.2508 0.7474 0.7494
Pr3 0.7492 0.2526 0.7494
Pr4 0.7492 0.7474 0.2506
Bi1 0.2496 0.2535 0.7492
Bi2 0.2496 0.7465 0.2508
Bi3 0.7504 0.2535 0.2508
Bi4 0.7504 0.7465 0.7492
O1 0.0112 0.2180 0.7183
O2 0.0112 0.7820 0.2817
O3 0.2088 0.2910 0.9877
O4 0.2088 0.7090 0.0123
O5 0.2122 0.4885 0.7008
O6 0.2122 0.5115 0.2992
O7 0.2781 0.0128 0.7853
O8 0.2781 0.9872 0.2147
O9 0.2975 0.2130 0.5127
O10 0.2975 0.7870 0.4873
O11 0.4871 0.2960 0.7907
O12 0.4871 0.7040 0.2093
O13 0.5129 0.2960 0.2093
O14 0.5129 0.7040 0.7907
O15 0.7025 0.2130 0.4873
O16 0.7025 0.7870 0.5127
O17 0.7219 0.0128 0.2147
O18 0.7219 0.9872 0.7853
O19 0.7878 0.4885 0.2992
O20 0.7878 0.5115 0.7008
O21 0.7912 0.2910 0.0123
O22 0.7912 0.7090 0.9877
O23 0.9888 0.2180 0.2817
O24 0.9888 0.7820 0.7183

Top 8 peaks for 2θ = 5–70°, in order of rising 2θ:
- 2θ = 17.47°, d 5.077, intensity 4
- 2θ = 20.19°, d 4.397, intensity 10
- 2θ = 28.71°, d 3.109, intensity 100
- 2θ = 41.05°, d 2.199, intensity 27
- 2θ = 46.16°, d 1.967, intensity 5
- 2θ = 50.86°, d 1.795, intensity 46
- 2θ = 59.46°, d 1.555, intensity 17
- 2θ = 67.34°, d 1.391, intensity 19